For AlGe3, DFT lattice parameters and positions (PBE) gives the theoretical powder diffraction line list in this record (Cu Kα (λ = 1.5418 Å)).
No peak broadening, texture or thermal motion is included.

Structural model:
a = 4.048 Å, b = 4.048 Å, c = 9.146 Å
α = 90.00°, β = 90.00°, γ = 90.00°
Sites, in units of the cell vectors:
1 Al 0.000 0.000 0.000
2 Al 0.500 0.500 0.500
3 Ge 0.000 0.000 0.500
4 Ge 0.000 0.500 0.250
5 Ge 0.000 0.500 0.750
6 Ge 0.500 0.000 0.250
7 Ge 0.500 0.000 0.750
8 Ge 0.500 0.500 0.000

Largest 10 diffraction maxima, low angle first, 2θ = 10–90°:
- hkl 0 0 2, 19.41 deg, I = 4
- hkl 1 0 1, 24.04 deg, I = 11
- hkl 1 1 2, 37.05 deg, I = 100
- hkl 0 0 4, 39.41 deg, I = 21
- hkl 2 0 0, 44.78 deg, I = 29
- hkl 2 0 4, 61.15 deg, I = 22
- hkl 2 2 0, 65.19 deg, I = 9
- hkl 1 1 6, 69.92 deg, I = 15
- hkl 3 1 2, 77.43 deg, I = 23
- hkl 2 2 4, 78.92 deg, I = 11